1.
This entry pairs a crystal structure of Mg6MnZnO8 with its calculated X-ray powder pattern. Radiation: Cu Kα, 1.54184 Å. Structure: the GGA+U geometry in the Materials Project.

Principal peaks in the range 5° ≤ 2θ ≤ 70°, most intense first:
Position (°2θ), I (rel.)
41.96, 100
60.84, 57
10.28, 31
36.12, 28
31.15, 14
43.31, 8
20.65, 8
29.31, 7
47.18, 4
69.91, 3
53.18, 3
52.04, 3

Crystal structure
```
Mg6MnZnO8
1.0
4.309 0.000 0.000
0.000 4.309 0.000
0.000 0.000 8.603
Mg Mn Zn O
6 1 1 8
direct
0.000 0.000 0.000
0.000 0.500 0.248
0.000 0.500 0.752
0.500 0.000 0.248
0.500 0.000 0.752
0.500 0.500 0.000
0.000 0.000 0.500
0.500 0.500 0.500
0.000 0.000 0.243
0.000 0.000 0.757
0.000 0.500 0.000
0.000 0.500 0.500
0.500 0.000 0.000
0.500 0.000 0.500
0.500 0.500 0.248
0.500 0.500 0.752
```

=====

2.
This entry pairs a crystal structure of Mg6MnZnO8 with its calculated X-ray powder pattern. Radiation: Cu Kα, 1.54184 Å. Structure: the GGA+U geometry in the Materials Project.

Principal peaks in the range 5° ≤ 2θ ≤ 70°, most intense first:
Position (°2θ), I (rel.)
41.92, 100
60.84, 86
42.02, 50
36.12, 41
20.62, 34
29.33, 28
47.19, 14
52.01, 11
64.95, 6
68.90, 3
10.29, 2
23.08, 1

Crystal structure
```
Mg6MnZnO8
1.0
4.310 0.000 0.000
0.000 4.310 0.000
0.000 0.000 8.600
Mg Mn Zn O
6 1 1 8
direct
0.000 0.000 0.000
0.000 0.000 0.500
0.000 0.500 0.248
0.000 0.500 0.752
0.500 0.000 0.248
0.500 0.000 0.752
0.500 0.500 0.500
0.500 0.500 0.000
0.000 0.000 0.250
0.000 0.000 0.750
0.000 0.500 0.000
0.000 0.500 0.500
0.500 0.000 0.000
0.500 0.000 0.500
0.500 0.500 0.245
0.500 0.500 0.755
```

=====

3.
This entry pairs a crystal structure of Na8MgMo2N4O4 with its calculated X-ray powder pattern. Radiation: Cu Kα, 1.54184 Å. Structure: the GGA+U geometry in the Materials Project.

Principal peaks in the range 5° ≤ 2θ ≤ 70°, most intense first:
Position (°2θ), I (rel.)
18.11, 100
35.63, 69
16.59, 52
31.82, 49
19.35, 47
20.21, 44
32.21, 39
30.42, 38
29.69, 36
38.14, 35
26.68, 35
35.82, 33

Crystal structure
```
Na8MgMo2N4O4
1.0
6.018 0.000 0.000
2.333 5.640 0.000
2.996 0.642 8.786
Na Mg Mo N O
8 1 2 4 4
direct
0.000 0.000 0.000
0.021 0.986 0.638
0.187 0.477 0.450
0.494 0.491 0.022
0.533 0.020 0.914
0.651 0.413 0.583
0.764 0.029 0.335
0.908 0.535 0.211
0.484 0.859 0.664
0.078 0.486 0.790
0.309 0.958 0.298
0.032 0.197 0.387
0.336 0.218 0.696
0.467 0.794 0.445
0.839 0.672 0.687
0.189 0.766 0.220
0.247 0.706 0.818
0.545 0.078 0.147
0.918 0.405 0.002
```

=====

4.
This entry pairs a crystal structure of Na8MgMo2N4O4 with its calculated X-ray powder pattern. Radiation: Cu Kα, 1.54184 Å. Structure: the GGA+U geometry in the Materials Project.

Principal peaks in the range 5° ≤ 2θ ≤ 70°, most intense first:
Position (°2θ), I (rel.)
16.23, 100
19.06, 75
19.19, 73
31.59, 60
35.65, 51
18.83, 48
32.69, 47
31.23, 45
36.73, 45
23.50, 44
53.66, 40
39.39, 39

Crystal structure
```
Na8MgMo2N4O4
1.0
5.801 0.000 0.000
1.970 5.671 0.000
1.015 2.532 9.024
Na Mg Mo N O
8 1 2 4 4
direct
0.000 0.000 0.000
0.001 0.339 0.212
0.003 0.772 0.334
0.014 0.536 0.790
0.348 0.878 0.838
0.478 0.853 0.206
0.513 0.298 0.388
0.556 0.737 0.568
0.587 0.224 0.758
0.057 0.168 0.545
0.492 0.374 0.041
0.209 0.983 0.419
0.273 0.606 0.123
0.717 0.145 0.174
0.825 0.455 0.451
0.346 0.204 0.634
0.350 0.184 0.949
0.607 0.506 0.823
0.934 0.999 0.754
```

=====

5.
This entry pairs a crystal structure of Na8MgMo2N4O4 with its calculated X-ray powder pattern. Radiation: Cu Kα, 1.54184 Å. Structure: the GGA+U geometry in the Materials Project.

Principal peaks in the range 5° ≤ 2θ ≤ 70°, most intense first:
Position (°2θ), I (rel.)
18.09, 100
33.15, 71
16.94, 70
19.52, 67
35.29, 55
38.77, 53
31.38, 43
38.01, 42
36.05, 42
15.26, 37
30.79, 37
23.40, 35

Crystal structure
```
Na8MgMo2N4O4
1.0
5.676 0.000 0.000
1.847 5.807 0.000
2.493 -0.026 9.148
Na Mg Mo N O
8 1 2 4 4
direct
0.000 0.000 0.000
0.041 0.850 0.638
0.111 0.318 0.463
0.315 0.376 0.035
0.423 0.803 0.823
0.548 0.302 0.596
0.640 0.775 0.453
0.737 0.326 0.262
0.727 0.684 0.068
0.161 0.802 0.292
0.938 0.411 0.795
0.205 0.153 0.725
0.358 0.590 0.394
0.760 0.541 0.661
0.924 0.037 0.410
0.007 0.677 0.881
0.369 0.885 0.087
0.740 0.371 0.011
0.952 0.656 0.203
```

=====

6.
This entry pairs a crystal structure of NaMgMoO3 with its calculated X-ray powder pattern. Radiation: Cu Kα, 1.54184 Å. Structure: the GGA+U geometry in the Materials Project.

Principal peaks in the range 5° ≤ 2θ ≤ 70°, most intense first:
Position (°2θ), I (rel.)
12.70, 100
25.79, 44
34.21, 31
31.81, 24
45.61, 19
22.35, 15
34.38, 14
58.22, 13
47.54, 13
25.56, 13
45.20, 12
53.13, 11

Crystal structure
```
NaMgMoO3
1.0
3.978 0.000 0.000
0.000 3.978 0.000
0.000 0.000 6.969
Na Mg Mo O
1 1 1 3
direct
0.000 0.000 0.000
0.000 0.000 0.498
0.500 0.500 0.323
0.000 0.500 0.425
0.500 0.000 0.425
0.500 0.500 0.045
```

=====

7.
This entry pairs a crystal structure of NaMgMoO3 with its calculated X-ray powder pattern. Radiation: Cu Kα, 1.54184 Å. Structure: the GGA+U geometry in the Materials Project.

Principal peaks in the range 5° ≤ 2θ ≤ 70°, most intense first:
Position (°2θ), I (rel.)
20.67, 100
31.19, 70
44.71, 50
44.93, 25
64.97, 17
42.09, 16
31.32, 14
49.68, 12
65.08, 10
27.44, 10
55.46, 9
65.37, 8

Crystal structure
```
NaMgMoO3
1.0
3.291 -2.872 0.000
3.291 2.872 0.000
-0.826 0.000 4.306
Na Mg Mo O
1 1 1 3
direct
0.000 0.000 0.000
0.653 0.653 0.355
0.339 0.339 0.665
0.358 0.845 0.644
0.359 0.359 0.158
0.845 0.358 0.644
```

=====

8.
This entry pairs a crystal structure of Na2MgMo2O6 with its calculated X-ray powder pattern. Radiation: Cu Kα, 1.54184 Å. Structure: the GGA+U geometry in the Materials Project.

Principal peaks in the range 5° ≤ 2θ ≤ 70°, most intense first:
Position (°2θ), I (rel.)
20.71, 100
21.79, 58
30.63, 55
22.92, 44
32.06, 39
30.07, 37
27.02, 37
33.18, 34
45.30, 28
46.82, 28
32.99, 25
44.43, 25

Crystal structure
```
Na2MgMo2O6
1.0
5.428 0.000 0.000
2.209 5.068 0.000
2.541 0.824 5.054
Na Mg Mo O
2 1 2 6
direct
0.000 0.000 0.000
0.480 0.724 0.242
0.818 0.406 0.669
0.217 0.401 0.096
0.648 0.996 0.565
0.011 0.134 0.393
0.430 0.686 0.844
0.452 0.277 0.355
0.596 0.126 0.877
0.870 0.692 0.353
0.999 0.441 0.890
```

=====

9.
This entry pairs a crystal structure of Rb3NaMgMo2O8 with its calculated X-ray powder pattern. Radiation: Cu Kα, 1.54184 Å. Structure: the GGA+U geometry in the Materials Project.

Principal peaks in the range 5° ≤ 2θ ≤ 70°, most intense first:
Position (°2θ), I (rel.)
28.47, 100
25.81, 66
38.81, 37
48.83, 22
19.12, 20
50.43, 19
34.32, 18
58.93, 18
19.86, 17
53.07, 12
41.82, 11
43.79, 11

Crystal structure
```
Rb3NaMgMo2O8
1.0
6.269 0.000 0.000
-3.135 5.429 0.000
0.000 0.000 8.942
Rb Na Mg Mo O
3 1 1 2 8
direct
0.000 0.000 0.000
0.333 0.667 0.620
0.667 0.333 0.308
0.333 0.667 0.256
0.333 0.667 0.958
0.000 0.000 0.460
0.667 0.333 0.882
0.000 0.000 0.658
0.156 0.312 0.389
0.156 0.844 0.389
0.504 0.008 0.991
0.504 0.496 0.991
0.667 0.333 0.677
0.688 0.844 0.389
0.992 0.496 0.991
```

=====

10.
This entry pairs a crystal structure of Rb3NaMgMo2O8 with its calculated X-ray powder pattern. Radiation: Cu Kα, 1.54184 Å. Structure: the GGA+U geometry in the Materials Project.

Principal peaks in the range 5° ≤ 2θ ≤ 70°, most intense first:
Position (°2θ), I (rel.)
25.40, 100
26.65, 98
28.62, 79
41.00, 53
28.73, 44
26.26, 41
13.93, 40
19.45, 37
18.71, 31
24.40, 30
41.81, 26
49.49, 25

Crystal structure
```
Rb3NaMgMo2O8
1.0
6.462 -3.119 0.000
6.462 3.119 0.000
-1.422 0.000 7.868
Rb Na Mg Mo O
3 1 1 2 8
direct
0.000 0.000 0.000
0.271 0.271 0.657
0.729 0.729 0.343
0.000 0.000 0.500
0.500 0.500 0.500
0.325 0.325 0.212
0.675 0.675 0.788
0.193 0.193 0.261
0.196 0.622 0.355
0.349 0.349 0.997
0.378 0.804 0.645
0.622 0.196 0.355
0.651 0.651 0.003
0.804 0.378 0.645
0.807 0.807 0.739
```

=====

11.
This entry pairs a crystal structure of MgMo2O4 with its calculated X-ray powder pattern. Radiation: Cu Kα, 1.54184 Å. Structure: the GGA+U geometry in the Materials Project.

Principal peaks in the range 5° ≤ 2θ ≤ 70°, most intense first:
Position (°2θ), I (rel.)
16.97, 100
40.34, 58
34.32, 55
33.11, 47
17.89, 32
40.59, 28
57.25, 28
32.61, 25
33.27, 24
59.86, 24
34.11, 23
53.14, 14

Crystal structure
```
MgMo2O4
1.0
5.283 -3.226 0.000
5.283 3.226 0.000
-3.358 0.000 5.227
Mg Mo O
2 4 8
direct
0.122 0.122 0.378
0.878 0.878 0.622
0.000 0.500 0.000
0.500 0.000 0.000
0.500 0.500 0.000
0.500 0.500 0.500
0.253 0.253 0.765
0.256 0.256 0.241
0.256 0.735 0.247
0.265 0.744 0.753
0.735 0.256 0.247
0.744 0.265 0.753
0.744 0.744 0.759
0.747 0.747 0.235
```

=====

12.
This entry pairs a crystal structure of MgMo4O9 with its calculated X-ray powder pattern. Radiation: Cu Kα, 1.54184 Å. Structure: the GGA+U geometry in the Materials Project.

Principal peaks in the range 5° ≤ 2θ ≤ 70°, most intense first:
Position (°2θ), I (rel.)
28.87, 100
32.21, 45
42.81, 31
17.71, 30
55.39, 29
46.20, 27
65.18, 17
64.80, 17
49.84, 13
20.41, 10
48.95, 9
28.73, 8

Crystal structure
```
MgMo4O9
1.0
8.789 0.000 0.000
0.000 8.789 0.000
0.000 0.000 5.009
Mg Mo O
2 8 18
direct
0.250 0.250 0.143
0.750 0.750 0.857
0.039 0.847 0.341
0.153 0.539 0.659
0.347 0.961 0.659
0.461 0.653 0.341
0.539 0.347 0.659
0.653 0.039 0.341
0.847 0.461 0.341
0.961 0.153 0.659
0.027 0.204 0.991
0.048 0.360 0.481
0.140 0.048 0.481
0.204 0.473 0.991
0.250 0.750 0.500
0.296 0.027 0.991
0.360 0.452 0.481
0.452 0.140 0.481
0.473 0.296 0.991
0.527 0.704 0.009
0.548 0.860 0.519
0.640 0.548 0.519
0.704 0.973 0.009
0.750 0.250 0.500
0.796 0.527 0.009
0.860 0.952 0.519
0.952 0.640 0.519
0.973 0.796 0.009
```